RbLiMn3O4: calculated X-ray diffraction stick pattern (CuKα), based on a cell relaxed with PBE+U.
Lines closer than 0.1° are merged.

Structure:
a = 11.9323 Å, b = 3.5977 Å, c = 8.4179 Å
α = 90.00°, β = 133.23°, γ = 90.00°
Space group Cm (No. 8)
Symmetry-distinct sites (fractional):
Rb: 0.0000 0.0000 0.0000 [2 per cell]
Li: 0.1903 0.0000 0.8136 [2 per cell]
Mn: 0.1410 0.5000 0.4718 [2 per cell]
Mn: 0.3090 0.5000 0.1607 [2 per cell]
Mn: 0.3876 0.0000 0.5608 [2 per cell]
O: 0.1172 0.5000 0.8265 [2 per cell]
O: 0.2436 0.0000 0.6350 [2 per cell]
O: 0.2803 0.5000 0.3799 [2 per cell]
O: 0.4104 0.0000 0.1871 [2 per cell]

Largest 6 diffraction maxima, by intensity, 2θ = 15–90°:
two_theta, intensity, (hkl)
33.86, 100, 1 1 1
34.57, 65, 3 1 -2
32.97, 30, 4 0 -1
58.95, 29, 5 1 0
33.29, 22, 2 0 -3
26.95, 20, 1 1 -1

=====

RbLiMn3O4: calculated X-ray diffraction stick pattern (CuKα), based on a cell relaxed with PBE+U.
Lines closer than 0.1° are merged.

Structure:
a = 6.2968 Å, b = 8.1188 Å, c = 8.1209 Å
α = 96.74°, β = 100.57°, γ = 101.21°
Space group P1 (No. 1)
Symmetry-distinct sites (fractional):
Rb: 0.0000 0.0000 0.0000 [1 per cell]
Rb: 0.0032 0.3385 0.3330 [1 per cell]
Rb: 0.9935 0.6785 0.6720 [1 per cell]
Li: 0.4377 0.1568 0.3289 [1 per cell]
Li: 0.5586 0.8573 0.6687 [1 per cell]
Li: 0.8158 0.5895 0.0263 [1 per cell]
Mn: 0.1747 0.4331 0.9732 [1 per cell]
Mn: 0.1881 0.7658 0.3078 [1 per cell]
Mn: 0.1967 0.0936 0.6357 [1 per cell]
Mn: 0.4537 0.5000 0.6717 [1 per cell]
Mn: 0.4608 0.8219 0.9943 [1 per cell]
Mn: 0.5534 0.1980 0.0058 [1 per cell]
Mn: 0.5558 0.5215 0.3287 [1 per cell]
Mn: 0.7950 0.2423 0.6869 [1 per cell]
Mn: 0.7998 0.9194 0.3607 [1 per cell]
O: 0.1608 0.0159 0.3778 [1 per cell]
O: 0.1642 0.3467 0.7141 [1 per cell]
O: 0.1754 0.6856 0.0500 [1 per cell]
O: 0.3663 0.3225 0.1422 [1 per cell]
O: 0.3836 0.6568 0.4779 [1 per cell]
O: 0.3886 0.9918 0.8116 [1 per cell]
O: 0.6131 0.3582 0.5174 [1 per cell]
O: 0.6157 0.0308 0.1875 [1 per cell]
O: 0.6331 0.6915 0.8583 [1 per cell]
O: 0.8289 0.3382 0.9456 [1 per cell]
O: 0.8343 0.6705 0.2815 [1 per cell]
O: 0.8371 0.9990 0.6197 [1 per cell]

Largest 6 diffraction maxima, by intensity, 2θ = 15–90°:
two_theta, intensity, (hkl)
34.28, 100, 1 2 1
34.14, 98, 0 0 3
33.09, 72, 2 -1 1
33.25, 31, 2 1 -1
59.63, 29, 2 -1 4
50.77, 28, -1 3 3

=====

LiMnRhO4: calculated X-ray diffraction stick pattern (CuKα), based on a cell relaxed with PBE+U.
Lines closer than 0.1° are merged.

Structure:
a = 5.8851 Å, b = 6.1174 Å, c = 8.4115 Å
α = 90.00°, β = 90.00°, γ = 90.00°
Space group Imma (No. 74)
Symmetry-distinct sites (fractional):
Li: 0.0000 0.2500 0.1247 [4 per cell]
Mn: 0.2500 0.2500 0.7500 [4 per cell]
Rh: 0.0000 0.0000 0.5000 [4 per cell]
O: 0.0000 0.0340 0.7443 [8 per cell]
O: 0.2312 0.2500 0.5190 [8 per cell]

Largest 6 diffraction maxima, by intensity, 2θ = 15–90°:
two_theta, intensity, (hkl)
18.40, 100, 1 0 1
42.64, 45, 2 2 0
17.93, 39, 0 1 1
34.73, 39, 1 2 1
35.47, 30, 1 0 3
62.17, 27, 2 2 4